Starting from a structure optimized by DFT (PBE), the powder diffraction line list of P was simulated for Cu Kα (weighted mean of Kα1 and Kα2).

Crystal structure
```
data_P
_cell_length_a 3.2605
_cell_length_b 10.2211
_cell_length_c 8.9397
_cell_angle_alpha 90.00
_cell_angle_beta 90.00
_cell_angle_gamma 90.00
_symmetry_space_group_name_H-M 'A m m 2'
_symmetry_Int_Tables_number 38
_symmetry_space_group_name_Hall 'A 2 -2'
loop_
_atom_site_label
_atom_site_type_symbol
_atom_site_fract_x
_atom_site_fract_y
_atom_site_fract_z
P1 P 0.0000 0.0000 0.0000
P2 P 0.0000 0.1153 0.4668
P3 P 0.5000 0.0000 0.1570
P4 P 0.5000 0.1724 0.3136
```

Top 10 peaks for 2θ from 10° to 90°, low angle first:
| Position (°2θ) | I/Imax |
| --- | --- |
| 13.16 | 100 |
| 19.86 | 13 |
| 26.49 | 21 |
| 28.03 | 46 |
| 30.46 | 13 |
| 34.03 | 42 |
| 38.45 | 11 |
| 49.31 | 31 |
| 49.44 | 11 |
| 53.92 | 12 |

=====

Starting from a structure optimized by DFT (PBE), the powder diffraction line list of K3Ba7Ti10O27F3 was simulated for Cu Kα (weighted mean of Kα1 and Kα2).

Crystal structure
```
data_K3Ba7Ti10O27F3
_cell_length_a 3.9918
_cell_length_b 3.9918
_cell_length_c 40.8739
_cell_angle_alpha 90.00
_cell_angle_beta 90.00
_cell_angle_gamma 90.00
_symmetry_space_group_name_H-M 'P 4 m m'
_symmetry_Int_Tables_number 99
_symmetry_space_group_name_Hall 'P 4 -2'
loop_
_atom_site_label
_atom_site_type_symbol
_atom_site_fract_x
_atom_site_fract_y
_atom_site_fract_z
K1 K 0.0000 0.0000 0.0000
K2 K 0.0000 0.0000 0.0987
K3 K 0.0000 0.0000 0.7985
Ba1 Ba 0.0000 0.0000 0.1992
Ba2 Ba 0.0000 0.0000 0.2997
Ba3 Ba 0.0000 0.0000 0.3994
Ba4 Ba 0.0000 0.0000 0.4990
Ba5 Ba 0.0000 0.0000 0.5986
Ba6 Ba 0.0000 0.0000 0.6991
Ba7 Ba 0.0000 0.0000 0.8987
Ti1 Ti 0.5000 0.5000 0.0495
Ti2 Ti 0.5000 0.5000 0.1527
Ti3 Ti 0.5000 0.5000 0.2506
Ti4 Ti 0.5000 0.5000 0.3498
Ti5 Ti 0.5000 0.5000 0.4492
Ti6 Ti 0.5000 0.5000 0.5486
Ti7 Ti 0.5000 0.5000 0.6478
Ti8 Ti 0.5000 0.5000 0.7458
Ti9 Ti 0.5000 0.5000 0.8504
Ti10 Ti 0.5000 0.5000 0.9466
O1 O 0.0000 0.5000 0.0495
O2 O 0.0000 0.5000 0.1512
O3 O 0.0000 0.5000 0.2503
O4 O 0.0000 0.5000 0.3497
O5 O 0.0000 0.5000 0.4492
O6 O 0.0000 0.5000 0.5487
O7 O 0.0000 0.5000 0.6481
O8 O 0.0000 0.5000 0.7472
O9 O 0.0000 0.5000 0.8493
O10 O 0.0000 0.5000 0.9479
O11 O 0.5000 0.5000 0.2003
O12 O 0.5000 0.5000 0.2999
O13 O 0.5000 0.5000 0.3994
O14 O 0.5000 0.5000 0.4990
O15 O 0.5000 0.5000 0.5985
O16 O 0.5000 0.5000 0.6981
O17 O 0.5000 0.5000 0.8986
F1 F 0.5000 0.5000 0.0999
F2 F 0.5000 0.5000 0.7984
F3 F 0.5000 0.5000 0.9991
```

Top 10 peaks for 2θ from 10° to 90°, low angle first:
| Position (°2θ) | I/Imax |
| --- | --- |
| 31.32 | 100 |
| 31.70 | 52 |
| 38.77 | 35 |
| 44.32 | 20 |
| 45.44 | 39 |
| 55.51 | 19 |
| 56.23 | 37 |
| 65.35 | 23 |
| 66.22 | 11 |
| 83.19 | 11 |

=====

Starting from a structure optimized by DFT (PBE), the powder diffraction line list of PrCdGe2Rh5 was simulated for Cu Kα (weighted mean of Kα1 and Kα2).

Crystal structure
```
data_PrCdGe2Rh5
_cell_length_a 4.6237
_cell_length_b 4.6237
_cell_length_c 7.5539
_cell_angle_alpha 90.00
_cell_angle_beta 90.00
_cell_angle_gamma 90.00
_symmetry_space_group_name_H-M 'P 4/m m m'
_symmetry_Int_Tables_number 123
_symmetry_space_group_name_Hall '-P 4 2'
loop_
_atom_site_label
_atom_site_type_symbol
_atom_site_fract_x
_atom_site_fract_y
_atom_site_fract_z
Pr1 Pr 0.0000 0.0000 0.0000
Cd1 Cd 0.0000 0.0000 0.5000
Ge1 Ge 0.5000 0.5000 0.3286
Rh1 Rh 0.0000 0.5000 0.2660
Rh2 Rh 0.5000 0.5000 0.0000
```

Top 10 peaks for 2θ from 10° to 90°, low angle first:
| Position (°2θ) | I/Imax |
| --- | --- |
| 30.56 | 18 |
| 36.34 | 100 |
| 38.96 | 75 |
| 48.19 | 11 |
| 53.83 | 11 |
| 56.28 | 26 |
| 63.62 | 19 |
| 68.86 | 30 |
| 77.18 | 11 |
| 82.02 | 14 |